No. 1
Starting from the GGA-PBE geometry in Alexandria, the powder diffractogram of La5Pr2Ho4 was calculated for Cu Kα, 1.54184 Å.
Intensities are scaled so that the largest is 100.

Most intense lines, 10 to 80 degrees two-theta, low angle first:
| Position (°2θ) | intensity |
| --- | --- |
| 27.7 | 36 |
| 29.5 | 54 |
| 30.8 | 65 |
| 31.7 | 100 |
| 35.1 | 40 |
| 36.4 | 48 |

Structural model:
```
11
Lattice="-1.790 4.670 11.911 1.790 -4.670 11.911 1.790 4.670 -11.911" Properties=species:S:1:pos:R:3 pbc="T T T"
La 0.000 0.000 0.000
La 1.790 1.863 -3.426
La 1.790 1.863 3.426
La 0.000 2.808 8.485
La 0.000 2.808 15.338
Pr 1.790 0.000 6.383
Pr 0.000 4.670 5.529
Ho 1.790 2.960 0.000
Ho 1.790 0.000 9.630
Ho 0.000 4.670 2.281
Ho 0.000 1.710 11.911
```

No. 2
Starting from the GGA-PBE geometry in Alexandria, the powder diffractogram of TmBiIrPd was calculated for Cu Kα, 1.54184 Å.
Intensities are scaled so that the largest is 100.

Most intense lines, 10 to 80 degrees two-theta, low angle first:
| Position (°2θ) | intensity |
| --- | --- |
| 22.5 | 4 |
| 37.1 | 100 |
| 43.9 | 2 |
| 53.5 | 18 |
| 67.0 | 36 |
| 79.1 | 11 |

Structural model:
```
4
Lattice="0.000 3.423 3.423 3.423 0.000 3.423 3.423 3.423 0.000" Properties=species:S:1:pos:R:3 pbc="T T T"
Tm 0.000 0.000 0.000
Bi 3.423 3.423 3.423
Ir 5.135 5.135 5.135
Pd 1.712 1.712 1.712
```

No. 3
Starting from the GGA-PBE geometry in Alexandria, the powder diffractogram of Ho2Mg2Ag3 was calculated for Cu Kα, 1.54184 Å.
Intensities are scaled so that the largest is 100.

Most intense lines, 10 to 80 degrees two-theta, low angle first:
| Position (°2θ) | intensity |
| --- | --- |
| 21.7 | 50 |
| 21.7 | 23 |
| 33.4 | 23 |
| 36.3 | 100 |
| 37.5 | 92 |
| 53.1 | 23 |

Structural model:
```
7
Lattice="4.149 -2.401 0.000 4.149 2.401 0.000 -2.745 0.000 8.220" Properties=species:S:1:pos:R:3 pbc="T T T"
Ho 0.013 0.000 3.037
Ho 5.539 0.000 5.183
Mg 2.770 0.000 0.933
Mg 2.783 0.000 7.287
Ag 0.000 0.000 0.000
Ag 0.013 0.000 6.223
Ag 5.540 0.000 1.997
```

No. 4
Starting from the GGA-PBE geometry in Alexandria, the powder diffractogram of SmTm4Sc was calculated for Cu Kα, 1.54184 Å.
Intensities are scaled so that the largest is 100.

Most intense lines, 10 to 80 degrees two-theta, low angle first:
| Position (°2θ) | intensity |
| --- | --- |
| 28.5 | 39 |
| 29.4 | 43 |
| 31.7 | 78 |
| 33.0 | 100 |
| 33.1 | 57 |
| 34.5 | 53 |

Structural model:
```
12
Lattice="4.360 -7.157 0.000 4.360 7.157 0.000 -2.068 0.000 5.859" Properties=species:S:1:pos:R:3 pbc="T T T"
Sm 2.809 5.921 4.394
Sm 3.843 -5.921 1.465
Tm 0.021 1.814 5.144
Tm 2.561 2.755 2.715
Tm 1.055 -1.814 2.215
Tm 5.125 2.755 0.215
Tm 1.527 -2.755 5.644
Tm 5.597 1.814 3.644
Tm 4.091 -2.755 3.144
Tm 6.631 -1.814 0.715
Sc 3.843 0.012 1.465
Sc 2.809 -0.012 4.394
```

No. 5
Starting from the GGA-PBE geometry in Alexandria, the powder diffractogram of GaSiNiOs was calculated for Cu Kα, 1.54184 Å.
Intensities are scaled so that the largest is 100.

Most intense lines, 10 to 80 degrees two-theta, low angle first:
| Position (°2θ) | intensity |
| --- | --- |
| 11.6 | 67 |
| 23.2 | 24 |
| 38.4 | 100 |
| 43.7 | 79 |
| 51.6 | 36 |
| 65.7 | 23 |

Structural model:
```
4
Lattice="2.843 0.000 0.000 -1.421 2.462 0.000 0.000 0.000 7.660" Properties=species:S:1:pos:R:3 pbc="T T T"
Ga 0.000 0.000 0.000
Si 0.000 0.000 3.965
Ni 1.421 0.821 5.706
Os 0.000 1.641 2.122
```

No. 6
Starting from the GGA-PBE geometry in Alexandria, the powder diffractogram of RbHgP2 was calculated for Cu Kα, 1.54184 Å.
Intensities are scaled so that the largest is 100.

Most intense lines, 10 to 80 degrees two-theta, low angle first:
| Position (°2θ) | intensity |
| --- | --- |
| 18.4 | 38 |
| 18.8 | 35 |
| 27.0 | 100 |
| 36.1 | 24 |
| 38.4 | 40 |
| 41.0 | 33 |

Structural model:
```
8
Lattice="-2.488 2.488 9.444 2.488 -2.488 9.444 2.488 2.488 -9.444" Properties=species:S:1:pos:R:3 pbc="T T T"
Rb 2.488 1.244 2.361
Rb 0.000 1.244 7.083
Hg 2.488 -1.244 7.083
Hg 0.000 3.732 2.361
P 0.000 0.000 0.000
P 1.244 1.244 -4.722
P 1.244 -1.244 4.722
P 0.000 2.488 0.000
```

No. 7
Starting from the GGA-PBE geometry in Alexandria, the powder diffractogram of Cs2Hg7Pd was calculated for Cu Kα, 1.54184 Å.
Intensities are scaled so that the largest is 100.

Most intense lines, 10 to 80 degrees two-theta, low angle first:
| Position (°2θ) | intensity |
| --- | --- |
| 15.8 | 42 |
| 27.5 | 100 |
| 31.8 | 82 |
| 32.0 | 40 |
| 45.7 | 60 |
| 56.7 | 31 |

Structural model:
```
10
Lattice="-3.982 3.982 5.602 3.982 -3.982 5.602 3.982 3.982 -5.602" Properties=species:S:1:pos:R:3 pbc="T T T"
Cs 3.982 0.000 2.801
Cs 0.000 3.982 2.801
Hg 0.000 0.000 0.000
Hg 0.000 0.000 2.897
Hg 2.062 2.062 0.000
Hg 1.920 -1.920 5.602
Hg -1.920 1.920 5.602
Hg 0.000 0.000 8.307
Hg 1.920 1.920 5.602
Pd 0.000 0.000 5.602
```

No. 8
Starting from the GGA-PBE geometry in Alexandria, the powder diffractogram of Y2Al6Au21 was calculated for Cu Kα, 1.54184 Å.
Intensities are scaled so that the largest is 100.

Most intense lines, 10 to 80 degrees two-theta, low angle first:
| Position (°2θ) | intensity |
| --- | --- |
| 33.8 | 18 |
| 35.9 | 100 |
| 39.2 | 19 |
| 41.1 | 29 |
| 41.7 | 19 |
| 60.5 | 22 |

Structural model:
```
29
Lattice="0.000 6.496 6.496 6.496 0.000 6.496 6.496 6.496 0.000" Properties=species:S:1:pos:R:3 pbc="T T T"
Y 3.248 3.248 3.248
Y 9.745 9.745 9.745
Al 6.496 6.496 3.001
Al 6.496 3.001 6.496
Al 9.992 6.496 6.496
Al 3.001 6.496 6.496
Al 6.496 9.992 6.496
Al 6.496 6.496 9.992
Au 1.549 1.549 1.549
Au 4.948 4.948 1.549
Au 4.948 1.549 4.948
Au 6.496 4.266 4.266
Au 8.727 6.496 4.266
Au 8.727 4.266 6.496
Au 11.444 8.045 8.045
Au 4.266 6.496 4.266
Au 6.496 8.727 4.266
Au 4.266 4.266 6.496
Au 6.496 6.496 6.496
Au 8.727 8.727 6.496
Au 6.496 4.266 8.727
Au 8.727 6.496 8.727
Au 1.549 4.948 4.948
Au 4.266 8.727 6.496
Au 4.266 6.496 8.727
Au 6.496 8.727 8.727
Au 8.045 11.444 8.045
Au 8.045 8.045 11.444
Au 11.444 11.444 11.444
```

No. 9
Starting from the GGA-PBE geometry in Alexandria, the powder diffractogram of Ni7Sn3H was calculated for Cu Kα, 1.54184 Å.
Intensities are scaled so that the largest is 100.

Most intense lines, 10 to 80 degrees two-theta, low angle first:
| Position (°2θ) | intensity |
| --- | --- |
| 34.8 | 17 |
| 37.5 | 16 |
| 39.1 | 80 |
| 43.4 | 100 |
| 52.1 | 15 |
| 79.1 | 18 |

Structural model:
```
22
Lattice="7.289 0.000 0.000 0.000 7.289 0.000 0.000 0.000 5.428" Properties=species:S:1:pos:R:3 pbc="T T T"
Ni 0.000 0.000 0.000
Ni 0.950 2.694 1.418
Ni 0.950 2.694 4.009
Ni 1.216 4.860 2.714
Ni 2.428 1.216 2.714
Ni 2.694 6.339 1.418
Ni 2.694 6.339 4.009
Ni 3.644 3.644 0.000
Ni 4.594 0.950 1.418
Ni 4.594 0.950 4.009
Ni 4.860 6.072 2.714
Ni 6.072 2.428 2.714
Ni 6.339 4.594 1.418
Ni 6.339 4.594 4.009
Sn 0.000 0.000 2.714
Sn 1.219 4.864 0.000
Sn 2.425 1.219 0.000
Sn 3.644 3.644 2.714
Sn 4.864 6.069 0.000
Sn 6.069 2.425 0.000
H 0.000 3.644 2.714
H 3.644 0.000 2.714
```

No. 10
Starting from the GGA-PBE geometry in Alexandria, the powder diffractogram of Ti8TcSn2 was calculated for Cu Kα, 1.54184 Å.
Intensities are scaled so that the largest is 100.

Most intense lines, 10 to 80 degrees two-theta, low angle first:
| Position (°2θ) | intensity |
| --- | --- |
| 23.8 | 21 |
| 24.4 | 20 |
| 38.5 | 42 |
| 40.1 | 100 |
| 70.7 | 15 |
| 73.0 | 12 |

Structural model:
```
11
Lattice="-2.339 3.115 6.753 2.339 -3.115 6.753 2.339 3.115 -6.753" Properties=species:S:1:pos:R:3 pbc="T T T"
Ti 2.339 1.624 -1.829
Ti 0.000 0.000 2.312
Ti 0.000 1.580 0.000
Ti 2.339 1.624 1.829
Ti 0.000 1.491 4.924
Ti 0.000 4.649 0.000
Ti 0.000 0.000 11.194
Ti 0.000 1.491 8.582
Tc 2.339 0.000 0.000
Sn 2.339 0.000 4.236
Sn 0.000 3.115 2.517
```

No. 11
Starting from the GGA-PBE geometry in Alexandria, the powder diffractogram of Y3TcB7 was calculated for Cu Kα, 1.54184 Å.
Intensities are scaled so that the largest is 100.

Most intense lines, 10 to 80 degrees two-theta, low angle first:
| Position (°2θ) | intensity |
| --- | --- |
| 25.8 | 100 |
| 29.6 | 74 |
| 30.8 | 71 |
| 34.0 | 36 |
| 38.9 | 93 |
| 39.4 | 67 |

Structural model:
```
22
Lattice="1.772 -7.911 0.000 1.772 7.911 0.000 0.000 0.000 9.362" Properties=species:S:1:pos:R:3 pbc="T T T"
Y 1.772 6.251 5.242
Y 1.772 6.251 8.801
Y 1.772 4.091 2.341
Y 1.772 -4.091 7.022
Y 1.772 -6.251 0.561
Y 1.772 -6.251 4.120
Tc 1.772 7.068 2.341
Tc 1.772 -7.068 7.022
B 1.772 3.589 4.994
B 1.772 3.589 9.049
B 1.772 2.083 6.093
B 1.772 2.083 7.950
B 1.772 0.659 2.341
B 1.772 0.329 5.578
B 1.772 0.329 8.466
B 1.772 -0.329 0.896
B 1.772 -0.329 3.785
B 1.772 -0.659 7.022
B 1.772 -2.083 1.412
B 1.772 -2.083 3.269
B 1.772 -3.589 0.313
B 1.772 -3.589 4.368
```